Diffraction record for Ag2Pd5Au3. The X-ray diffraction stick pattern is theoretical, not measured: it uses a DFT-relaxed cell (GGA-PBE, Alexandria) and a wavelength of 1.5418 Å.
Intensities are scaled so that the largest is 1000.

Atomic structure:
Unit cell a=6.9244 b=18.9325 c=5.4279 alpha=90.00 beta=90.00 gamma=90.00
Space group Ibam (No. 72)
Inequivalent atoms, fractional coordinates:
Ag 0.1769 0.2288 0.0000 x8
Pd 0.0000 0.3413 0.2500 x8
Pd 0.0000 0.5000 0.2500 x4
Pd 0.2403 0.0847 0.0000 x8
Au 0.0000 0.0000 0.2500 x4
Au 0.1532 0.1285 0.5000 x8

Peak list (6 most intense, 10 to 90 degrees two-theta, by intensity)
index	two_theta	I (rel.)
2 0 2	42.31	1000
2 6 0	38.61	821
1 3 2	38.37	683
1 6 1	35.36	672
0 6 2	44.01	605
2 3 1	33.83	535